No. 1
The following is a calculated PXRD pattern of Sr2NbNO3. It was derived from a crystal structure in OQMD, relaxed with GGA-PBE, using λ = 1.5418 Å (Cu Kα).

The 6 most intense peaks (15 to 90 degrees two-theta), low angle first:
- 2θ 30.7, I 100
- 2θ 31.2, I 28
- 2θ 42.5, I 15
- 2θ 44.4, I 28
- 2θ 54.7, I 13
- 2θ 55.2, I 14

Crystal structure
Lattice parameters (Å, degrees): 6.8744 6.8744 5.7404 90.00 90.00 50.00
Fractional coordinates of all 14 atoms:
1 Sr 0.0836 0.6281 0.7500
2 Sr 0.3719 0.9164 0.7500
3 Sr 0.6281 0.0836 0.2500
4 Sr 0.9164 0.3719 0.2500
5 Nb 0.2683 0.7317 0.2500
6 Nb 0.7317 0.2683 0.7500
7 N 0.5000 0.5000 0.0000
8 N 0.5000 0.5000 0.5000
9 O 0.0000 0.0000 0.0000
10 O 0.0000 0.0000 0.5000
11 O 0.0604 0.6134 0.2500
12 O 0.3866 0.9396 0.2500
13 O 0.6134 0.0604 0.7500
14 O 0.9396 0.3866 0.7500



No. 2
The following is a calculated PXRD pattern of Rb5As2Au. It was derived from a crystal structure in OQMD, relaxed with GGA-PBE, using λ = 1.5418 Å (Cu Kα).

The 6 most intense peaks (15 to 90 degrees two-theta), low angle first:
- 2θ 17.6, I 23
- 2θ 24.7, I 29
- 2θ 29.7, I 100
- 2θ 31.9, I 24
- 2θ 47.3, I 22
- 2θ 55.3, I 21

Crystal structure
Lattice parameters (Å, degrees): 6.0236 6.0236 19.9354 90.00 90.00 120.00
Fractional coordinates of all 16 atoms:
1 Rb 0.0000 0.0000 0.1473
2 Rb 0.0000 0.0000 0.3527
3 Rb 0.0000 0.0000 0.6473
4 Rb 0.0000 0.0000 0.8527
5 Rb 0.3333 0.6667 0.0494
6 Rb 0.3333 0.6667 0.2500
7 Rb 0.3333 0.6667 0.4506
8 Rb 0.6667 0.3333 0.5494
9 Rb 0.6667 0.3333 0.7500
10 Rb 0.6667 0.3333 0.9506
11 As 0.3333 0.6667 0.6232
12 As 0.3333 0.6667 0.8768
13 As 0.6667 0.3333 0.1232
14 As 0.6667 0.3333 0.3768
15 Au 0.3333 0.6667 0.7500
16 Au 0.6667 0.3333 0.2500



No. 3
The following is a calculated PXRD pattern of Li2YCdSn2Pd2. It was derived from a crystal structure in OQMD, relaxed with GGA-PBE, using λ = 1.5418 Å (Cu Kα).

The 6 most intense peaks (15 to 90 degrees two-theta), low angle first:
- 2θ 23.0, I 24
- 2θ 26.6, I 14
- 2θ 38.0, I 100
- 2θ 44.9, I 12
- 2θ 54.9, I 17
- 2θ 68.7, I 35

Crystal structure
Lattice parameters (Å, degrees): 4.7287 4.7287 6.6964 90.00 90.00 90.00
Fractional coordinates of all 8 atoms:
1 Li 0.0000 0.5000 0.2181
2 Li 0.5000 0.0000 0.7819
3 Y 0.0000 0.0000 0.5000
4 Cd 0.5000 0.5000 0.0000
5 Sn 0.0000 0.0000 0.0000
6 Sn 0.5000 0.5000 0.5000
7 Pd 0.0000 0.5000 0.7488
8 Pd 0.5000 0.0000 0.2512



No. 4
The following is a calculated PXRD pattern of Dy3Ni. It was derived from a crystal structure in OQMD, relaxed with GGA-PBE, using λ = 1.5418 Å (Cu Kα).

The 6 most intense peaks (15 to 90 degrees two-theta), low angle first:
- 2θ 33.7, I 100
- 2θ 34.3, I 24
- 2θ 41.3, I 28
- 2θ 54.7, I 25
- 2θ 61.0, I 18
- 2θ 70.5, I 23

Crystal structure
Lattice parameters (Å, degrees): 4.3686 4.3686 10.4718 90.00 90.00 90.00
Fractional coordinates of all 8 atoms:
1 Dy 0.0000 0.0000 0.0000
2 Dy 0.0000 0.5000 0.2500
3 Dy 0.0000 0.5000 0.7500
4 Dy 0.5000 0.0000 0.2500
5 Dy 0.5000 0.0000 0.7500
6 Dy 0.5000 0.5000 0.5000
7 Ni 0.0000 0.0000 0.5000
8 Ni 0.5000 0.5000 0.0000



No. 5
The following is a calculated PXRD pattern of Na4MgTl2Hg. It was derived from a crystal structure in OQMD, relaxed with GGA-PBE, using λ = 1.5418 Å (Cu Kα).

The 6 most intense peaks (15 to 90 degrees two-theta), low angle first:
- 2θ 20.7, I 67
- 2θ 34.1, I 100
- 2θ 40.2, I 12
- 2θ 40.3, I 25
- 2θ 49.1, I 12
- 2θ 61.1, I 25

Crystal structure
Lattice parameters (Å, degrees): 5.2466 5.2466 7.4541 90.00 90.00 90.00
Fractional coordinates of all 8 atoms:
1 Na 0.0000 0.0000 0.0000
2 Na 0.0000 0.5000 0.2354
3 Na 0.5000 0.0000 0.7646
4 Na 0.5000 0.5000 0.5000
5 Mg 0.0000 0.0000 0.5000
6 Tl 0.0000 0.5000 0.7403
7 Tl 0.5000 0.0000 0.2597
8 Hg 0.5000 0.5000 0.0000



No. 6
The following is a calculated PXRD pattern of PrSmAs2Pt2. It was derived from a crystal structure in OQMD, relaxed with GGA-PBE, using λ = 1.5418 Å (Cu Kα).

The 6 most intense peaks (15 to 90 degrees two-theta), low angle first:
- 2θ 24.3, I 17
- 2θ 32.7, I 100
- 2θ 41.5, I 60
- 2θ 53.9, I 24
- 2θ 63.4, I 29
- 2θ 70.2, I 22

Crystal structure
Lattice parameters (Å, degrees): 4.3472 4.3472 15.9198 90.00 90.00 120.00
Fractional coordinates of all 12 atoms:
1 Pr 0.0000 0.0000 0.0000
2 Pr 0.0000 0.0000 0.5000
3 Sm 0.0000 0.0000 0.2500
4 Sm 0.0000 0.0000 0.7500
5 As 0.3333 0.6667 0.1202
6 As 0.3333 0.6667 0.3798
7 As 0.6667 0.3333 0.6202
8 As 0.6667 0.3333 0.8798
9 Pt 0.3333 0.6667 0.6360
10 Pt 0.3333 0.6667 0.8640
11 Pt 0.6667 0.3333 0.1360
12 Pt 0.6667 0.3333 0.3640



No. 7
The following is a calculated PXRD pattern of NaNbTeAuSe2. It was derived from a crystal structure in OQMD, relaxed with GGA-PBE, using λ = 1.5418 Å (Cu Kα).

The 6 most intense peaks (15 to 90 degrees two-theta), low angle first:
- 2θ 31.6, I 94
- 2θ 34.4, I 54
- 2θ 35.0, I 100
- 2θ 40.1, I 38
- 2θ 42.9, I 36
- 2θ 53.9, I 31

Crystal structure
Lattice parameters (Å, degrees): 7.6282 7.6282 10.4198 90.00 90.00 152.22
Fractional coordinates of all 12 atoms:
1 Na 0.2191 0.7809 0.7500
2 Na 0.7809 0.2191 0.2500
3 Nb 0.0000 0.0000 0.0000
4 Nb 0.0000 0.0000 0.5000
5 Te 0.0989 0.9011 0.2500
6 Te 0.9011 0.0989 0.7500
7 Au 0.4523 0.5477 0.2500
8 Au 0.5477 0.4523 0.7500
9 Se 0.3710 0.6290 0.0365
10 Se 0.3710 0.6290 0.4635
11 Se 0.6290 0.3710 0.5365
12 Se 0.6290 0.3710 0.9635



No. 8
The following is a calculated PXRD pattern of Gd2Y3Al3. It was derived from a crystal structure in OQMD, relaxed with GGA-PBE, using λ = 1.5418 Å (Cu Kα).

The 6 most intense peaks (15 to 90 degrees two-theta), low angle first:
- 2θ 24.9, I 55
- 2θ 33.2, I 100
- 2θ 33.4, I 100
- 2θ 35.0, I 45
- 2θ 35.9, I 45
- 2θ 62.9, I 31

Crystal structure
Lattice parameters (Å, degrees): 6.5397 4.9977 6.5694 90.00 103.04 90.00
Fractional coordinates of all 8 atoms:
1 Gd 0.0000 0.0000 0.0000
2 Gd 0.2146 0.5000 0.7023
3 Y 0.4956 0.0000 0.9870
4 Y 0.5098 0.0000 0.4910
5 Y 0.7888 0.5000 0.2798
6 Al 0.0066 0.0000 0.4970
7 Al 0.2872 0.5000 0.2074
8 Al 0.7179 0.5000 0.7749